This entry pairs a crystal structure of CsCrI3 with its simulated powder diffraction line list. Radiation: Cu Kα (λ = 1.5418 Å). Structure: a PBE-relaxed structure.

Largest 6 diffraction maxima, by angle, 2θ from 10° to 90°:
| d_spacing | Rel. int. |
| --- | --- |
| 3.522 | 31 |
| 3.187 | 100 |
| 3.155 | 45 |
| 2.508 | 21 |
| 2.046 | 22 |
| 1.962 | 21 |

Cell: 8.288 14.112 7.045 Å, 90.00 90.00 90.00°
Sites, in units of the cell vectors:
1 Cs 0.000 0.166 0.250
2 Cs 0.000 0.834 0.750
3 Cs 0.500 0.334 0.750
4 Cs 0.500 0.666 0.250
5 Cr 0.000 0.500 0.000
6 Cr 0.000 0.500 0.500
7 Cr 0.500 0.000 0.000
8 Cr 0.500 0.000 0.500
9 I 0.000 0.344 0.750
10 I 0.000 0.656 0.250
11 I 0.244 0.417 0.215
12 I 0.244 0.583 0.715
13 I 0.256 0.083 0.715
14 I 0.256 0.917 0.215
15 I 0.500 0.156 0.250
16 I 0.500 0.844 0.750
17 I 0.744 0.083 0.785
18 I 0.744 0.917 0.285
19 I 0.756 0.417 0.285
20 I 0.756 0.583 0.785